Entry 1:
The following is a simulated X-ray diffraction stick pattern of MgVP2O7. It was derived from a structure optimized by DFT (PBE+U), using λ = 1.5418 Å (Cu Kα).
Intensities are scaled so that the largest is 100.

Structural model:
```
MgVP2O7
1.0
3.469 -4.141 0.000
3.469 4.141 0.000
-0.807 0.000 4.853
Mg V P O
1 1 2 7
Cartesian
0.000 0.000 0.000
3.469 0.694 0.000
1.108 -0.592 2.126
5.023 -0.592 2.727
1.918 2.351 3.603
1.602 0.501 1.125
4.213 2.351 1.250
1.804 -0.741 3.444
4.529 0.501 3.729
4.327 -0.741 1.410
3.066 -4.036 2.427
```

Main lines, by intensity (10° ≤ 2θ ≤ 90°):
d 3.041, 29.37 deg, I = 100
d 4.141, 21.46 deg, I = 98
d 3.150, 28.33 deg, I = 63
d 3.366, 26.48 deg, I = 52
d 5.276, 16.80 deg, I = 48
d 2.638, 33.99 deg, I = 26
d 1.710, 53.59 deg, I = 24
d 2.209, 40.85 deg, I = 23
d 1.910, 47.60 deg, I = 22
d 2.204, 40.96 deg, I = 19



Entry 2:
The following is a simulated X-ray diffraction stick pattern of LiVOF2. It was derived from a structure optimized by DFT (PBE+U), using λ = 1.5418 Å (Cu Kα).
Intensities are scaled so that the largest is 100.

Structural model:
```
LiVOF2
1.0
5.330 0.000 0.000
0.706 6.574 0.000
0.794 0.537 6.580
Li V O F
4 4 4 8
Cartesian
1.239 0.849 1.853
2.928 5.198 5.864
3.902 1.913 0.716
5.590 6.262 4.726
2.058 4.005 2.746
2.116 2.011 4.997
4.714 5.100 1.583
4.771 3.106 3.834
1.201 2.274 3.211
2.997 3.737 4.556
3.833 3.374 2.024
5.628 4.837 3.369
1.140 4.283 0.887
2.052 6.756 5.169
2.108 1.416 0.245
2.936 5.847 2.353
3.894 1.264 4.227
4.721 5.695 6.335
4.777 0.355 1.411
5.689 2.829 5.693
```

Main lines, by intensity (10° ≤ 2θ ≤ 90°):
d 4.844, 18.31 deg, I = 100
d 6.565, 13.49 deg, I = 49
d 2.178, 41.46 deg, I = 35
d 2.109, 42.88 deg, I = 31
d 2.090, 43.28 deg, I = 30
d 3.037, 29.41 deg, I = 20
d 1.499, 61.92 deg, I = 19
d 2.633, 34.05 deg, I = 17
d 2.540, 35.34 deg, I = 16
d 2.564, 35.00 deg, I = 16



Entry 3:
The following is a simulated X-ray diffraction stick pattern of Zr12Ti4Ni8O. It was derived from a structure optimized by DFT (PBE+U), using λ = 1.5418 Å (Cu Kα).
Intensities are scaled so that the largest is 100.

Structural model:
```
Zr12Ti4Ni8O
1.0
4.207 2.429 6.867
-4.207 2.429 6.867
0.000 -4.857 6.867
Zr Ti Ni O
12 4 8 1
Cartesian
0.000 -1.891 6.411
-1.626 -0.939 9.030
-1.638 0.945 6.411
-1.638 -0.945 14.191
0.000 -1.878 11.571
-1.626 0.939 11.571
1.626 -0.939 9.030
0.000 1.878 9.030
1.638 0.945 6.411
1.638 -0.945 14.191
1.626 0.939 11.571
0.000 1.891 14.191
0.000 0.000 0.000
-4.207 0.000 10.301
-2.103 1.214 3.434
2.103 1.214 3.434
-2.886 -1.666 11.696
0.000 -3.333 8.906
-2.886 1.666 8.906
0.000 0.000 4.314
0.000 0.000 16.287
2.886 -1.666 11.696
0.000 3.333 11.696
2.886 1.666 8.906
0.000 0.000 10.301
```

Main lines, by intensity (10° ≤ 2θ ≤ 90°):
d 2.290, 39.35 deg, I = 100
d 2.428, 37.02 deg, I = 41
d 1.402, 66.71 deg, I = 38
d 2.103, 43.01 deg, I = 24
d 1.196, 80.29 deg, I = 17
d 2.729, 32.81 deg, I = 14
d 1.983, 45.76 deg, I = 9
d 1.374, 68.28 deg, I = 8
d 1.453, 64.07 deg, I = 8
d 1.666, 55.13 deg, I = 7



Entry 4:
The following is a simulated X-ray diffraction stick pattern of B2Pb6WO12. It was derived from a structure optimized by DFT (PBE+U), using λ = 1.5418 Å (Cu Kα).
Intensities are scaled so that the largest is 100.

Structural model:
```
B2Pb6WO12
1.0
9.436 -3.246 0.000
9.436 3.246 0.000
0.000 0.000 12.037
B Pb W O
4 12 2 24
Cartesian
4.655 0.000 0.000
4.655 0.000 6.019
14.216 0.000 0.000
14.216 0.000 6.019
3.927 1.257 9.028
7.395 1.571 7.137
7.395 1.571 10.919
11.476 1.571 7.137
11.476 1.571 10.919
3.927 -1.257 3.009
14.944 1.257 9.028
7.395 -1.571 1.118
7.395 -1.571 4.901
11.476 -1.571 1.118
11.476 -1.571 4.901
14.944 -1.257 3.009
9.436 1.739 3.009
9.436 -1.739 9.028
2.835 0.837 3.009
9.436 2.791 1.528
9.436 2.791 4.490
3.249 0.000 0.000
3.249 0.000 6.019
5.332 0.377 7.167
5.332 0.377 10.889
2.835 -0.837 9.028
7.962 0.654 3.009
5.332 -0.377 1.149
5.332 -0.377 4.870
10.909 0.654 3.009
7.962 -0.654 9.028
13.540 0.377 7.167
13.540 0.377 10.889
10.909 -0.654 9.028
16.036 0.837 3.009
13.540 -0.377 1.149
13.540 -0.377 4.870
15.622 0.000 0.000
15.622 0.000 6.019
9.436 -2.791 7.547
9.436 -2.791 10.509
16.036 -0.837 9.028
```

Main lines, by intensity (10° ≤ 2θ ≤ 90°):
d 3.359, 26.54 deg, I = 100
d 3.149, 28.34 deg, I = 100
d 3.246, 27.48 deg, I = 38
d 1.787, 51.13 deg, I = 34
d 3.713, 23.97 deg, I = 29
d 2.443, 36.80 deg, I = 26
d 1.999, 45.37 deg, I = 23
d 2.536, 35.39 deg, I = 22
d 1.895, 48.02 deg, I = 20
d 3.000, 29.78 deg, I = 19



Entry 5:
The following is a simulated X-ray diffraction stick pattern of CsLiMoO4. It was derived from a structure optimized by DFT (PBE+U), using λ = 1.5418 Å (Cu Kα).
Intensities are scaled so that the largest is 100.

Structural model:
```
CsLiMoO4
1.0
0.000 4.289 4.289
4.289 0.000 4.289
4.289 4.289 0.000
Cs Li Mo O
1 1 1 4
Cartesian
0.000 0.000 0.000
6.434 6.434 6.434
4.289 4.289 4.289
5.325 3.254 3.254
3.254 5.325 3.254
3.254 3.254 5.325
5.325 5.325 5.325
```

Main lines, by intensity (10° ≤ 2θ ≤ 90°):
d 4.289, 20.71 deg, I = 100
d 3.033, 29.45 deg, I = 88
d 1.918, 47.39 deg, I = 41
d 1.751, 52.24 deg, I = 34
d 2.476, 36.27 deg, I = 33
d 1.430, 65.26 deg, I = 20
d 1.146, 84.52 deg, I = 18
d 1.517, 61.11 deg, I = 16
d 1.356, 69.27 deg, I = 15
d 1.293, 73.18 deg, I = 12



Entry 6:
The following is a simulated X-ray diffraction stick pattern of Zn2Ni11O13. It was derived from a structure optimized by DFT (PBE+U), using λ = 1.5418 Å (Cu Kα).
Intensities are scaled so that the largest is 100.

Structural model:
```
Zn2Ni11O13
1.0
-1.500 2.120 19.503
1.500 -2.120 19.503
1.500 2.120 -19.503
Zn Ni O
2 11 13
Cartesian
0.000 0.000 6.002
0.000 0.000 33.004
0.000 0.000 0.000
0.000 0.000 2.983
0.000 0.000 9.017
0.000 0.000 11.995
0.000 0.000 15.010
0.000 0.000 18.004
0.000 0.000 21.002
0.000 0.000 23.996
0.000 0.000 27.011
0.000 0.000 29.989
0.000 0.000 36.022
1.500 0.000 1.491
1.500 0.000 4.460
1.500 0.000 7.539
1.500 0.000 10.509
1.500 0.000 13.504
1.500 0.000 16.505
0.000 2.120 0.000
0.000 2.120 2.998
0.000 2.120 5.999
0.000 2.120 8.993
0.000 2.120 11.964
0.000 2.120 15.043
0.000 2.120 18.012
```

Main lines, by intensity (10° ≤ 2θ ≤ 90°):
d 2.121, 42.63 deg, I = 100
d 2.449, 36.69 deg, I = 76
d 1.500, 61.86 deg, I = 58
d 1.279, 74.13 deg, I = 29
d 1.225, 78.03 deg, I = 18



Entry 7:
The following is a simulated X-ray diffraction stick pattern of KCoO3. It was derived from a structure optimized by DFT (PBE+U), using λ = 1.5418 Å (Cu Kα).
Intensities are scaled so that the largest is 100.

Structural model:
```
KCoO3
1.0
3.874 0.000 0.000
0.000 3.874 0.000
0.000 0.000 3.874
K Co O
1 1 3
Cartesian
0.000 0.000 0.000
1.937 1.937 1.937
0.000 1.937 1.937
1.937 0.000 1.937
1.937 1.937 0.000
```

Main lines, by intensity (10° ≤ 2θ ≤ 90°):
d 2.739, 32.69 deg, I = 100
d 1.937, 46.91 deg, I = 51
d 1.582, 58.35 deg, I = 35
d 1.370, 68.51 deg, I = 27
d 3.874, 22.96 deg, I = 25
d 1.225, 78.00 deg, I = 14
d 1.732, 52.84 deg, I = 9
d 1.118, 87.16 deg, I = 9
d 1.291, 73.31 deg, I = 4
d 2.237, 40.32 deg, I = 3



Entry 8:
The following is a simulated X-ray diffraction stick pattern of Li3Fe8B8O24. It was derived from a structure optimized by DFT (PBE+U), using λ = 1.5418 Å (Cu Kα).
Intensities are scaled so that the largest is 100.

Structural model:
```
Li3Fe8B8O24
1.0
5.236 0.000 0.000
0.066 9.107 0.000
0.135 0.072 10.181
Li Fe B O
3 8 8 24
Cartesian
0.000 0.000 0.000
0.334 9.059 5.053
1.061 1.471 7.488
0.242 6.000 9.833
0.265 3.008 4.706
1.033 7.421 2.185
1.093 4.518 7.238
2.790 1.622 9.846
2.846 7.478 4.752
3.620 2.922 2.236
3.732 8.932 7.343
0.167 2.979 9.765
0.182 6.025 4.766
1.040 4.445 2.165
1.158 7.516 7.265
2.927 7.587 9.878
2.847 1.342 4.704
3.609 9.009 2.167
3.672 2.943 7.247
0.200 3.471 2.651
0.461 8.694 7.193
0.448 5.644 1.670
0.629 6.362 7.851
0.724 4.182 9.286
0.827 1.785 9.556
0.860 4.943 5.285
0.931 7.139 4.257
1.404 7.521 0.075
1.499 1.374 4.893
2.419 7.452 6.704
2.374 4.319 2.170
2.811 7.982 2.700
2.907 4.064 7.171
2.964 1.091 1.807
3.093 1.745 7.665
3.506 8.778 9.474
3.659 6.447 9.933
3.567 0.159 5.060
3.595 2.397 4.209
4.076 6.100 4.712
4.052 2.946 0.218
4.957 8.776 1.975
5.059 2.964 6.937
```

Main lines, by intensity (10° ≤ 2θ ≤ 90°):
d 4.141, 21.46 deg, I = 100
d 2.545, 35.26 deg, I = 80
d 4.525, 19.62 deg, I = 68
d 2.618, 34.25 deg, I = 58
d 2.227, 40.51 deg, I = 41
d 4.553, 19.50 deg, I = 38
d 3.419, 26.06 deg, I = 32
d 3.406, 26.17 deg, I = 31
d 4.123, 21.55 deg, I = 27
d 2.634, 34.03 deg, I = 24